# 1
HgGeBi2: simulated powder diffraction line list (a wavelength of 1.5418 Å), based on a cell relaxed with GGA-PBE.
No peak broadening, texture or thermal motion is included.

Structural model:
a b c (Å): 6.736 6.736 12.891
angles (deg): 90.00 90.00 90.00
Space group I-42d (No. 122)
Unique sites:
1 Hg 0.000 0.000 0.000 (multiplicity 4)
2 Ge 0.000 0.000 0.500 (multiplicity 4)
3 Bi 0.233 0.250 0.625 (multiplicity 8)

The 10 most intense peaks (2θ from 10° to 90°), in order of rising 2θ:
| Position (°2θ) | I_rel | (hkl) |
| --- | --- | --- |
| 23.22 | 100 | 1 1 2 |
| 37.77 | 28 | 2 2 0 |
| 38.67 | 53 | 2 0 4 |
| 44.81 | 35 | 3 1 2 |
| 46.36 | 17 | 1 1 6 |
| 54.49 | 9 | 4 0 0 |
| 61.28 | 16 | 3 1 6 |
| 68.80 | 19 | 4 2 4 |
| 70.57 | 9 | 2 2 8 |
| 73.13 | 9 | 5 1 2 |

=====

# 2
HgGeBi2: simulated powder diffraction line list (a wavelength of 1.5418 Å), based on a cell relaxed with GGA-PBE.
No peak broadening, texture or thermal motion is included.

Structural model:
a b c (Å): 4.2171 4.2171 22.3678
angles (deg): 90.00 90.00 120.00
Space group R-3m (No. 166, hexagonal axes)
Unique sites:
1 Hg 0.0000 0.0000 0.0000 (multiplicity 3)
2 Ge 0.0000 0.0000 0.5000 (multiplicity 3)
3 Bi 0.0000 0.0000 0.2429 (multiplicity 6)

The 10 most intense peaks (2θ from 10° to 90°), in order of rising 2θ:
| Position (°2θ) | I_rel | (hkl) |
| --- | --- | --- |
| 29.21 | 100 | 1 0 4 |
| 31.63 | 8 | 0 1 5 |
| 40.64 | 40 | 0 1 8 |
| 42.89 | 37 | 1 1 0 |
| 48.86 | 7 | 0 0 12 |
| 52.73 | 20 | 0 2 4 |
| 60.56 | 12 | 2 0 8 |
| 67.01 | 17 | 1 1 12 |
| 70.23 | 17 | 2 1 4 |
| 77.05 | 15 | 1 2 8 |

=====

# 3
HgGeBi2: simulated powder diffraction line list (a wavelength of 1.5418 Å), based on a cell relaxed with GGA-PBE.
No peak broadening, texture or thermal motion is included.

Structural model:
a b c (Å): 4.1171 4.1171 23.6983
angles (deg): 90.00 90.00 120.00
Space group R3m (No. 160, hexagonal axes)
Unique sites:
1 Hg 0.0000 0.0000 0.0000 (multiplicity 3)
2 Ge 0.0000 0.0000 0.1678 (multiplicity 3)
3 Bi 0.0000 0.0000 0.5755 (multiplicity 3)
4 Bi 0.0000 0.0000 0.7589 (multiplicity 3)

The 10 most intense peaks (2θ from 10° to 90°), in order of rising 2θ:
| Position (°2θ) | I_rel | (hkl) |
| --- | --- | --- |
| 25.26 | 28 | 1 0 1 |
| 26.10 | 22 | 0 1 2 |
| 29.23 | 40 | 1 0 4 |
| 31.40 | 100 | 0 1 5 |
| 36.60 | 40 | 1 0 7 |
| 43.99 | 53 | 1 1 0 |
| 45.97 | 27 | 0 0 12 |
| 55.03 | 21 | 2 0 5 |
| 65.50 | 31 | 1 1 12 |
| 72.99 | 19 | 1 2 5 |

=====

# 4
HgGeBi: simulated powder diffraction line list (a wavelength of 1.5418 Å), based on a cell relaxed with GGA-PBE.
No peak broadening, texture or thermal motion is included.

Structural model:
a b c (Å): 3.203 6.388 8.668
angles (deg): 69.48 89.92 89.86
Space group P1 (No. 1)
Unique sites:
1 Hg 0.000 0.000 0.000 (multiplicity 1)
2 Hg 0.499 0.693 0.811 (multiplicity 1)
3 Ge 0.491 0.104 0.545 (multiplicity 1)
4 Ge 0.989 0.344 0.677 (multiplicity 1)
5 Bi 0.488 0.690 0.377 (multiplicity 1)
6 Bi 0.493 0.359 0.183 (multiplicity 1)

The 10 most intense peaks (2θ from 10° to 90°), in order of rising 2θ:
| Position (°2θ) | I_rel | (hkl) |
| --- | --- | --- |
| 27.90 | 52 | 0 2 1 |
| 30.27 | 86 | 0 2 2 |
| 30.65 | 100 | 0 1 -2 |
| 31.14 | 37 | 0 1 3 |
| 31.71 | 72 | 1 1 1 |
| 31.82 | 30 | -1 1 1 |
| 35.60 | 39 | 1 1 2 |
| 41.30 | 31 | 1 -2 0 |
| 41.68 | 37 | 0 1 4 |
| 45.48 | 30 | 0 3 0 |

=====

# 5
Ho4GeBi2: simulated powder diffraction line list (a wavelength of 1.5418 Å), based on a cell relaxed with GGA-PBE.
No peak broadening, texture or thermal motion is included.

Structural model:
a b c (Å): 6.676 6.585 9.718
angles (deg): 90.00 108.34 90.00
Space group P2_1/m (No. 11)
Unique sites:
1 Ho 0.011 0.003 0.256 (multiplicity 4)
2 Ho 0.380 0.750 0.054 (multiplicity 2)
3 Ho 0.439 0.750 0.645 (multiplicity 2)
4 Ge 0.363 0.750 0.339 (multiplicity 2)
5 Bi 0.191 0.250 0.548 (multiplicity 2)
6 Bi 0.203 0.250 0.038 (multiplicity 2)

The 10 most intense peaks (2θ from 10° to 90°), in order of rising 2θ:
| Position (°2θ) | I_rel | (hkl) |
| --- | --- | --- |
| 27.08 | 30 | 0 2 0 |
| 27.26 | 33 | 1 0 2 |
| 28.73 | 43 | 2 0 -2 |
| 30.56 | 100 | 1 1 2 |
| 31.33 | 64 | 2 1 0 |
| 31.84 | 56 | 2 1 -2 |
| 33.44 | 78 | 0 2 2 |
| 33.85 | 66 | 1 2 -2 |
| 37.05 | 54 | 1 0 -4 |
| 39.47 | 26 | 2 2 0 |

=====

# 6
Ho6GeBi2: simulated powder diffraction line list (a wavelength of 1.5418 Å), based on a cell relaxed with GGA-PBE.
No peak broadening, texture or thermal motion is included.

Structural model:
a b c (Å): 6.344 8.139 11.947
angles (deg): 90.00 121.18 90.00
Space group P2_1/c (No. 14)
Unique sites:
1 Ho 0.086 0.192 0.456 (multiplicity 4)
2 Ho 0.325 0.672 0.457 (multiplicity 4)
3 Ho 0.366 0.032 0.236 (multiplicity 4)
4 Ge 0.500 0.000 0.500 (multiplicity 2)
5 Bi 0.149 0.113 0.745 (multiplicity 4)

The 10 most intense peaks (2θ from 10° to 90°), in order of rising 2θ:
| Position (°2θ) | I_rel | (hkl) |
| --- | --- | --- |
| 28.03 | 54 | 0 2 2 |
| 31.36 | 100 | 2 1 -1 |
| 31.60 | 100 | 1 2 -3 |
| 31.96 | 30 | 1 1 -4 |
| 34.33 | 32 | 0 2 3 |
| 34.85 | 36 | 2 1 0 |
| 35.12 | 43 | 0 0 4 |
| 35.30 | 34 | 2 1 -4 |
| 36.01 | 50 | 1 3 -1 |
| 52.13 | 21 | 3 2 -5 |

=====

# 7
Ho7Ge2Bi2: simulated powder diffraction line list (a wavelength of 1.5418 Å), based on a cell relaxed with GGA-PBE.
No peak broadening, texture or thermal motion is included.

Structural model:
a b c (Å): 9.094 10.700 6.817
angles (deg): 90.00 90.00 90.00
Space group Cmmm (No. 65)
Unique sites:
1 Ho 0.000 0.000 0.000 (multiplicity 2)
2 Ho 0.000 0.500 0.244 (multiplicity 4)
3 Ho 0.250 0.250 0.252 (multiplicity 8)
4 Ge 0.000 0.272 0.000 (multiplicity 4)
5 Bi 0.195 0.000 0.500 (multiplicity 4)

The 10 most intense peaks (2θ from 10° to 90°), in order of rising 2θ:
| Position (°2θ) | I_rel | (hkl) |
| --- | --- | --- |
| 23.52 | 42 | 2 0 1 |
| 25.71 | 36 | 2 2 0 |
| 29.20 | 42 | 1 1 2 |
| 31.11 | 28 | 0 2 2 |
| 33.48 | 75 | 0 4 0 |
| 37.00 | 100 | 2 2 2 |
| 37.83 | 27 | 1 3 2 |
| 39.64 | 24 | 4 0 0 |
| 41.31 | 33 | 2 4 1 |
| 52.84 | 22 | 4 4 0 |

=====

# 8
Ge2Bi2I: simulated powder diffraction line list (a wavelength of 1.5418 Å), based on a cell relaxed with GGA-PBE.
No peak broadening, texture or thermal motion is included.

Structural model:
a b c (Å): 5.382 5.382 10.136
angles (deg): 90.00 90.00 90.00
Space group I4/mmm (No. 139)
Unique sites:
1 Ge 0.000 0.000 0.125 (multiplicity 4)
2 Bi 0.000 0.500 0.250 (multiplicity 4)
3 I 0.000 0.000 0.500 (multiplicity 2)

The 10 most intense peaks (2θ from 10° to 90°), in order of rising 2θ:
| Position (°2θ) | I_rel | (hkl) |
| --- | --- | --- |
| 17.50 | 24 | 0 0 2 |
| 29.35 | 100 | 1 1 2 |
| 31.26 | 16 | 1 0 3 |
| 33.30 | 59 | 2 0 0 |
| 37.86 | 15 | 2 0 2 |
| 42.88 | 24 | 1 1 4 |
| 47.80 | 22 | 2 2 0 |
| 57.09 | 32 | 3 1 2 |
| 59.91 | 14 | 1 1 6 |
| 66.14 | 14 | 3 1 4 |